[1]
The following is a simulated powder diffractogram of CsPb4O8. It was derived from a GGA-PBE-relaxed structure, using Cu Kα (λ = 1.5418 Å).
Peak positions follow from Bragg's law for the DFT cell and can differ from measured ones.

Structural model:
Cell lengths 8.2202, 8.2202, 11.3276 Å; angles 133.24, 133.24, 24.65 degrees
Fractional coordinates of all 13 atoms:
1 Cs 0.0000 0.0000 0.0000
2 Pb 0.1509 0.1509 0.4868
3 Pb 0.3372 0.3372 0.1845
4 Pb 0.6628 0.6628 0.8155
5 Pb 0.8491 0.8491 0.5132
6 O 0.0413 0.0413 0.7135
7 O 0.2928 0.2928 0.9461
8 O 0.3379 0.3379 0.3792
9 O 0.3437 0.3437 0.6390
10 O 0.6563 0.6563 0.3610
11 O 0.6621 0.6621 0.6208
12 O 0.7072 0.7072 0.0539
13 O 0.9587 0.9587 0.2865

Principal peaks in the range 2θ from 15° to 90°, low angle first:
| 2theta | I (rel.) |
| --- | --- |
| 24.6 | 49.9 |
| 24.8 | 50.2 |
| 30.9 | 100.0 |
| 31.0 | 22.4 |
| 41.5 | 21.8 |
| 41.8 | 22.8 |
| 50.3 | 20.8 |
| 50.5 | 18.9 |
| 58.4 | 16.7 |
| 58.5 | 14.2 |


[2]
The following is a simulated powder diffractogram of BaPmMg2Hg4. It was derived from a GGA-PBE-relaxed structure, using Cu Kα (λ = 1.5418 Å).
Peak positions follow from Bragg's law for the DFT cell and can differ from measured ones.

Structural model:
Cell lengths 9.8413, 9.8413, 9.8413 Å; angles 30.50, 30.50, 30.50 degrees
Fractional coordinates of all 8 atoms:
1 Ba 0.0000 0.0000 0.0000
2 Pm 0.5000 0.5000 0.5000
3 Mg 0.2395 0.2395 0.2395
4 Mg 0.7605 0.7605 0.7605
5 Hg 0.1260 0.1260 0.1260
6 Hg 0.3889 0.3889 0.3889
7 Hg 0.6111 0.6111 0.6111
8 Hg 0.8740 0.8740 0.8740

Principal peaks in the range 2θ from 15° to 90°, low angle first:
| 2theta | I (rel.) |
| --- | --- |
| 20.8 | 23.7 |
| 23.5 | 40.3 |
| 32.4 | 99.4 |
| 34.7 | 100.0 |
| 37.8 | 16.6 |
| 48.1 | 33.1 |
| 60.7 | 33.4 |
| 62.1 | 18.9 |
| 73.1 | 11.9 |
| 82.2 | 15.0 |


[3]
The following is a simulated powder diffractogram of ZrPt5Au2. It was derived from a GGA-PBE-relaxed structure, using Cu Kα (λ = 1.5418 Å).
Peak positions follow from Bragg's law for the DFT cell and can differ from measured ones.

Structural model:
Cell lengths 7.0607, 6.5304, 4.9050 Å; angles 74.75, 63.17, 42.08 degrees
Fractional coordinates of all 8 atoms:
1 Zr 0.0000 0.0000 0.0000
2 Pt 0.1226 0.1226 0.3774
3 Pt 0.3774 0.3774 0.1226
4 Pt 0.5000 0.5000 0.5000
5 Pt 0.6226 0.6226 0.8774
6 Pt 0.8774 0.8774 0.6226
7 Au 0.2540 0.2540 0.7460
8 Au 0.7460 0.7460 0.2540

Principal peaks in the range 2θ from 15° to 90°, low angle first:
| 2theta | I (rel.) |
| --- | --- |
| 38.3 | 100.0 |
| 38.5 | 98.0 |
| 43.9 | 67.3 |
| 45.9 | 29.9 |
| 65.4 | 41.7 |
| 76.9 | 26.2 |
| 77.2 | 26.2 |
| 79.8 | 12.1 |
| 79.9 | 12.1 |
| 81.9 | 11.3 |


Copy entry 2 word for word.
The following is a simulated powder diffractogram of BaPmMg2Hg4. It was derived from a GGA-PBE-relaxed structure, using Cu Kα (λ = 1.5418 Å).
Peak positions follow from Bragg's law for the DFT cell and can differ from measured ones.

Structural model:
Cell lengths 9.8413, 9.8413, 9.8413 Å; angles 30.50, 30.50, 30.50 degrees
Fractional coordinates of all 8 atoms:
1 Ba 0.0000 0.0000 0.0000
2 Pm 0.5000 0.5000 0.5000
3 Mg 0.2395 0.2395 0.2395
4 Mg 0.7605 0.7605 0.7605
5 Hg 0.1260 0.1260 0.1260
6 Hg 0.3889 0.3889 0.3889
7 Hg 0.6111 0.6111 0.6111
8 Hg 0.8740 0.8740 0.8740

Principal peaks in the range 2θ from 15° to 90°, low angle first:
| 2theta | I (rel.) |
| --- | --- |
| 20.8 | 23.7 |
| 23.5 | 40.3 |
| 32.4 | 99.4 |
| 34.7 | 100.0 |
| 37.8 | 16.6 |
| 48.1 | 33.1 |
| 60.7 | 33.4 |
| 62.1 | 18.9 |
| 73.1 | 11.9 |
| 82.2 | 15.0 |